Simulated XRD peak list of Nd4Er3S8 for Cu Ka, from a crystal structure in Alexandria, relaxed with PBE.
Lines closer than 0.1° are merged.

Largest 10 diffraction maxima, most intense first, 5° ≤ 2θ ≤ 70°:
- 2θ 31.87, I = 100
- 2θ 27.51, I = 69
- 2θ 45.67, I = 60
- 2θ 54.14, I = 23
- 2θ 56.72, I = 13
- 2θ 56.85, I = 12
- 2θ 45.77, I = 12
- 2θ 54.21, I = 12
- 2θ 13.65, I = 11
- 2θ 15.78, I = 9

Atomic structure:
```
Nd4Er3S8
1.0
5.6124 -5.6167 0.0000
5.6124 5.6167 0.0000
-5.5944 0.0000 5.6200
Nd Er S
4 3 8
Direct
0.0000 0.0000 0.0000
0.0000 0.5000 0.0000
0.5000 0.0000 0.0000
0.5000 0.5000 0.5000
0.0000 0.5000 0.5000
0.5000 0.0000 0.5000
0.5000 0.5000 0.0000
0.2453 0.7547 0.5000
0.2511 0.2511 0.5122
0.2522 0.2522 0.9916
0.2561 0.7439 0.0000
0.7439 0.2561 0.0000
0.7478 0.7478 0.0084
0.7489 0.7489 0.4878
0.7547 0.2453 0.5000
```